# 1
For LiNbCl6, a crystal structure in Alexandria, relaxed with PBE gives the simulated X-ray powder pattern in this record (Cu Kα, 1.54184 Å).
Lines closer than 0.1° are merged.

The 12 most intense peaks (2θ = 5–70°), in order of rising 2θ:
14.2°, 6.258 Å, I 100; 15.0°, 5.904 Å, I 43; 16.6°, 5.345 Å, I 65; 18.3°, 4.835 Å, I 72; 20.7°, 4.294 Å, I 33; 30.3°, 2.954 Å, I 16; 33.0°, 2.715 Å, I 81; 34.2°, 2.621 Å, I 40; 42.1°, 2.148 Å, I 27; 44.2°, 2.051 Å, I 23; 48.3°, 1.886 Å, I 45; 57.0°, 1.615 Å, I 18

Structural model:
```
LiNbCl6
1.0
3.1749 -6.2575 0.0000
3.1749 6.2575 0.0000
-2.3149 0.0000 5.9041
Li Nb Cl
1 1 6
Direct
0.0000 0.0000 0.0000 Li
0.5000 0.5000 0.5000 Nb
0.1277 0.3971 0.2607 Cl
0.2735 0.2735 0.7241 Cl
0.3971 0.1277 0.2607 Cl
0.6029 0.8723 0.7393 Cl
0.7265 0.7265 0.2759 Cl
0.8723 0.6029 0.7393 Cl
```

***

# 2
For Cs2GaSb2, a crystal structure in Alexandria, relaxed with PBE gives the simulated X-ray powder pattern in this record (Cu Kα, 1.54184 Å).
Lines closer than 0.1° are merged.

The 12 most intense peaks (2θ = 5–70°), in order of rising 2θ:
20.6°, 4.309 Å, I 23; 23.4°, 3.801 Å, I 57; 25.1°, 3.547 Å, I 100; 25.5°, 3.492 Å, I 20; 25.8°, 3.458 Å, I 21; 26.2°, 3.406 Å, I 56; 27.6°, 3.228 Å, I 25; 27.7°, 3.215 Å, I 25; 29.8°, 3.000 Å, I 36; 30.1°, 2.966 Å, I 34; 30.4°, 2.938 Å, I 22; 43.3°, 2.089 Å, I 22

Structural model:
```
Cs2GaSb2
1.0
7.3894 0.0000 0.0000
2.9471 7.1894 0.0000
2.0576 2.8891 8.6039
Cs Ga Sb
4 2 4
Direct
0.1870 0.1861 0.1511 Cs
0.1903 0.1918 0.6618 Cs
0.8097 0.8082 0.3382 Cs
0.8130 0.8139 0.8489 Cs
0.4382 0.5589 0.3254 Ga
0.5618 0.4411 0.6746 Ga
0.2637 0.7382 0.5400 Sb
0.3422 0.6572 0.0449 Sb
0.6578 0.3428 0.9551 Sb
0.7363 0.2618 0.4600 Sb
```